Cs2OsPdS4: theoretical X-ray powder pattern (copper Kα), based on a cell relaxed with GGA-PBE.
Kinematic intensities with the Lorentz-polarization factor, no thermal factor.

Most intense lines, 2θ from 10° to 90°, sorted by position:
2theta, I/Imax, h k l
14.1, 49, 0 2 2
14.7, 49, 0 0 4
20.4, 49, 1 1 3
24.2, 46, 0 4 0
25.2, 100, 0 2 6
26.7, 66, 1 3 3

abc: 5.5158 14.7224 24.1839
angles: 90.00 90.00 90.00
Space group Fddd (No. 70, origin choice 2)
Inequivalent atoms, fractional coordinates:
Cs1 0.1250 0.1250 0.3035
Os1 0.1250 0.1250 0.6250
Pd1 0.1250 0.1250 0.1250
S1 0.0973 0.2841 0.8208